Entry 1:
The following is a simulated PXRD pattern of Cs4Pr6C2I13. It was derived from a cell relaxed with PBE, using Cu Kα, 1.54184 Å.

Cell: 14.457 14.457 14.457 Å, 101.40 101.40 127.20°
Element x y z (fractional)
Cs  0.222  0.472  0.444
Cs  0.222  0.778  0.750
Cs  0.472  0.222  0.944
Cs  0.472  0.528  0.250
Cs  0.528  0.472  0.750
Cs  0.528  0.778  0.056
Cs  0.778  0.222  0.250
Cs  0.778  0.528  0.556
Pr  0.012  0.123  0.889
Pr  0.109  0.359  0.750
Pr  0.123  0.012  0.389
Pr  0.123  0.735  0.111
Pr  0.265  0.877  0.389
Pr  0.359  0.109  0.250
Pr  0.641  0.891  0.750
Pr  0.735  0.123  0.611
Pr  0.877  0.265  0.889
Pr  0.877  0.988  0.611
Pr  0.891  0.641  0.250
Pr  0.988  0.877  0.111
C  0.071  0.821  0.250
C  0.179  0.929  0.250
C  0.821  0.071  0.750
C  0.929  0.179  0.750
I  0.046  0.296  0.093
I  0.046  0.954  0.750
I  0.049  0.623  0.427
I  0.130  0.208  0.577
I  0.130  0.553  0.923
I  0.208  0.130  0.077
I  0.296  0.046  0.593
I  0.296  0.704  0.250
I  0.304  0.377  0.927
I  0.375  0.625  0.750
I  0.377  0.304  0.427
I  0.377  0.951  0.073
I  0.447  0.870  0.577
I  0.553  0.130  0.423
I  0.623  0.049  0.927
I  0.623  0.696  0.573
I  0.625  0.375  0.250
I  0.696  0.623  0.073
I  0.704  0.296  0.750
I  0.704  0.954  0.407
I  0.792  0.870  0.923
I  0.870  0.447  0.077
I  0.870  0.792  0.423
I  0.951  0.377  0.573
I  0.954  0.046  0.250
I  0.954  0.704  0.907

Largest 6 diffraction maxima, by angle, 2θ from 15° to 90°:
d/Å	2θ (°)	Rel. int.
3.583	24.85	72
3.214	27.76	66
3.052	29.26	100
2.213	40.77	78
2.158	41.86	31
1.792	50.97	34

---

Entry 2:
The following is a simulated PXRD pattern of Ho5Tm3Te. It was derived from a cell relaxed with PBE, using Cu Kα, 1.54184 Å.

Cell: 9.131 9.131 3.745 Å, 90.00 90.00 120.00°
Element x y z (fractional)
Ho  0.000  0.275  0.000
Ho  0.275  0.000  0.000
Ho  0.333  0.667  0.000
Ho  0.667  0.333  0.000
Ho  0.725  0.725  0.000
Tm  0.000  0.616  0.500
Tm  0.384  0.384  0.500
Tm  0.616  0.000  0.500
Te  0.000  0.000  0.500

Largest 6 diffraction maxima, by angle, 2θ from 15° to 90°:
d/Å	2θ (°)	Rel. int.
2.989	29.90	38
2.896	30.88	100
2.719	32.94	55
2.636	34.01	77
1.633	56.35	36
1.527	60.66	29

---

Entry 3:
The following is a simulated PXRD pattern of BaSrFeSb2. It was derived from a cell relaxed with PBE, using Cu Kα, 1.54184 Å.

Cell: 9.285 9.285 7.936 Å, 90.00 90.00 150.32°
Element x y z (fractional)
Ba  0.209  0.791  0.500
Ba  0.791  0.209  0.000
Sr  0.024  0.976  0.207
Sr  0.976  0.024  0.707
Fe  0.415  0.585  0.340
Fe  0.585  0.415  0.840
Sb  0.153  0.847  0.917
Sb  0.441  0.559  0.994
Sb  0.559  0.441  0.494
Sb  0.847  0.153  0.417

Largest 6 diffraction maxima, by angle, 2θ from 15° to 90°:
d/Å	2θ (°)	Rel. int.
3.968	22.40	43
3.371	26.44	89
2.865	31.22	51
2.800	31.97	46
2.715	32.99	100
2.378	37.84	49

---

Entry 4:
The following is a simulated PXRD pattern of Re4As3. It was derived from a cell relaxed with PBE, using Cu Kα, 1.54184 Å.

Cell: 10.723 10.723 10.723 Å, 20.10 20.10 20.10°
Element x y z (fractional)
Re  0.000  0.000  0.000
Re  0.151  0.151  0.151
Re  0.448  0.448  0.448
Re  0.599  0.599  0.599
As  0.299  0.299  0.299
As  0.717  0.717  0.717
As  0.882  0.882  0.882

Largest 6 diffraction maxima, by angle, 2θ from 15° to 90°:
d/Å	2θ (°)	Rel. int.
5.252	16.88	24
2.630	34.09	100
1.941	46.80	17
1.871	48.66	45
1.849	49.29	18
1.525	60.74	19

---

Entry 5:
The following is a simulated PXRD pattern of Cu2PbS2. It was derived from a cell relaxed with PBE, using Cu Kα, 1.54184 Å.

Cell: 8.658 8.172 5.684 Å, 90.00 90.00 90.00°
Element x y z (fractional)
Cu  0.076  0.100  0.250
Cu  0.076  0.400  0.750
Cu  0.285  0.250  0.000
Cu  0.285  0.250  0.500
Cu  0.715  0.750  0.000
Cu  0.715  0.750  0.500
Cu  0.924  0.600  0.250
Cu  0.924  0.900  0.750
Pb  0.315  0.608  0.250
Pb  0.315  0.892  0.750
Pb  0.685  0.108  0.250
Pb  0.685  0.392  0.750
S  0.072  0.121  0.750
S  0.072  0.379  0.250
S  0.369  0.043  0.250
S  0.369  0.457  0.750
S  0.631  0.543  0.250
S  0.631  0.957  0.750
S  0.928  0.621  0.750
S  0.928  0.879  0.250

Largest 6 diffraction maxima, by angle, 2θ from 15° to 90°:
d/Å	2θ (°)	Rel. int.
4.108	21.63	60
3.318	26.87	100
2.886	30.99	44
2.842	31.48	40
2.564	35.00	37
2.177	41.47	43

---

Entry 6:
The following is a simulated PXRD pattern of Cs2YErS4. It was derived from a cell relaxed with PBE, using Cu Kα, 1.54184 Å.

Cell: 4.080 4.080 16.067 Å, 90.00 90.00 120.00°
Element x y z (fractional)
Cs  0.333  0.667  0.250
Cs  0.667  0.333  0.750
Y  0.000  0.000  0.500
Er  0.000  0.000  0.000
S  0.333  0.667  0.592
S  0.333  0.667  0.910
S  0.667  0.333  0.090
S  0.667  0.333  0.408

Largest 6 diffraction maxima, by angle, 2θ from 15° to 90°:
d/Å	2θ (°)	Rel. int.
4.017	22.13	40
3.451	25.82	29
3.234	27.58	100
2.949	30.31	74
2.134	42.35	49
2.040	44.41	44